Record 1
Starting from the GGA-PBE geometry in the Materials Project, the powder XRD pattern of MgTl2Cu2H2Se2O10 was computed for λ = 1.5418 Å (Cu Kα).

Largest 10 diffraction maxima, sorted by position, 10° ≤ 2θ ≤ 80°:
| Position (°2θ) | I (rel.) |
| --- | --- |
| 16.35 | 32.7 |
| 20.51 | 21.8 |
| 20.71 | 33.4 |
| 22.05 | 100.0 |
| 23.11 | 49.3 |
| 25.35 | 24.6 |
| 31.26 | 24.1 |
| 34.10 | 21.1 |
| 36.40 | 35.2 |
| 40.70 | 20.7 |

Structure:
```
data_MgTl2Cu2H2Se2O10
_chemical_formula_sum 'Mg1 Tl2 Cu2 H2 Se2 O10'
_space_group_name_H-M_alt 'P 1 m 1'
_space_group_IT_number 6
_space_group_name_Hall 'P -2y'
_cell_length_a 5.639
_cell_length_b 6.010
_cell_length_c 10.388
_cell_angle_alpha 90.00
_cell_angle_beta 105.20
_cell_angle_gamma 90.00
loop_
_atom_site_label
_atom_site_fract_x
_atom_site_fract_y
_atom_site_fract_z
Mg1 0.000 0.000 0.000
Tl1 0.159 0.000 0.610
Tl2 0.605 0.500 0.892
Cu1 0.166 0.239 0.284
H1 0.523 0.000 0.418
H2 0.832 0.500 0.231
Se1 0.483 0.000 0.032
Se2 0.663 0.500 0.492
O1 0.271 0.213 0.978
O2 0.342 0.000 0.400
O3 0.377 0.500 0.368
O4 0.599 0.500 0.640
O5 0.647 0.000 0.910
O6 0.811 0.270 0.466
O7 0.982 0.500 0.200
O8 0.987 0.000 0.185
```

Record 2
Starting from the GGA-PBE geometry in the Materials Project, the powder XRD pattern of Nd4S3Br6 was computed for λ = 1.5418 Å (Cu Kα).

Largest 10 diffraction maxima, sorted by position, 10° ≤ 2θ ≤ 80°:
| Position (°2θ) | I (rel.) |
| --- | --- |
| 18.20 | 40.6 |
| 20.39 | 66.1 |
| 22.64 | 42.3 |
| 23.99 | 43.1 |
| 30.13 | 49.6 |
| 30.69 | 40.6 |
| 31.49 | 100.0 |
| 33.42 | 62.1 |
| 36.20 | 53.3 |
| 37.75 | 43.0 |

Structure:
```
data_Nd4S3Br6
_chemical_formula_sum 'Nd16 S12 Br24'
_space_group_name_H-M_alt 'C 1 2/c 1'
_space_group_IT_number 15
_space_group_name_Hall '-C 2yc'
_cell_length_a 29.757
_cell_length_b 6.930
_cell_length_c 7.207
_cell_angle_alpha 90.00
_cell_angle_beta 94.66
_cell_angle_gamma 90.00
loop_
_atom_site_label
_atom_site_fract_x
_atom_site_fract_y
_atom_site_fract_z
Nd1 0.057 0.190 0.485
Nd2 0.171 0.193 0.094
S1 0.000 0.050 0.750
S2 0.116 0.051 0.791
Br1 0.052 0.393 0.110
Br2 0.156 0.406 0.446
Br3 0.235 0.083 0.815
```